Calculated powder X-ray diffraction pattern
Compound: HfFeNF2
Radiation: Cu Kα (weighted mean of Kα1 and Kα2)
Structure: a GGA+U-relaxed structure

Crystal structure
abc: 4.122 4.122 4.215
angles: 90.00 90.00 90.00
Element x y z (fractional)
1 Hf 0.000 0.000 0.000
2 Fe 0.500 0.500 0.500
3 N 0.000 0.000 0.500
4 F 0.000 0.500 0.000
5 F 0.500 0.000 0.000

Largest 8 diffraction maxima, sorted by position, 2θ from 10° to 90°:
2θ (°)	Rel. int.	index
21.1	25	0 0 1
21.6	40	1 0 0
30.3	100	1 0 1
30.7	43	1 1 0
43.9	30	2 0 0
53.7	18	1 1 2
54.3	39	2 1 1
63.1	19	2 0 2